Diffraction record for LiAl2I6. The powder XRD pattern is computed, not measured: it uses a DFT-relaxed cell (PBE, Alexandria) and Cu Kα.

Principal peaks in the range 2θ from 10° to 80°, in order of rising 2θ:
2θ 21.60, I 382
2θ 23.65, I 149
2θ 26.05, I 1000
2θ 32.25, I 178
2θ 40.71, I 287
2θ 41.58, I 207
2θ 47.33, I 251
2θ 49.73, I 151
2θ 59.61, I 84
2θ 61.51, I 79
2θ 62.16, I 97
2θ 66.77, I 111

Cell and atoms:
Unit cell a=9.304 b=9.304 c=9.304 alpha=47.69 beta=47.69 gamma=47.69
Positions (direct):
Li: 0.000 0.000 0.000
Al: 0.278 0.278 0.278
Al: 0.389 0.389 0.389
I: 0.095 0.390 0.753
I: 0.230 0.937 0.594
I: 0.390 0.753 0.095
I: 0.594 0.230 0.937
I: 0.753 0.095 0.390
I: 0.937 0.594 0.230